This entry pairs a crystal structure of Na3Pr2RhO6 with its theoretical X-ray diffraction stick pattern. Radiation: Cu Kα (λ = 1.5418 Å). Structure: a crystal structure in Alexandria, relaxed with PBE.
Peak positions follow from Bragg's law for the DFT cell and can differ from measured ones.

Atomic structure:
a b c (Å): 5.9112 10.2843 5.9640
angles (deg): 90.00 108.08 90.00
Space group C2/m (No. 12)
Unique sites:
Na 0.0000 0.0000 0.0000 x2
Na 0.0000 0.3547 0.0000 x4
Pr 0.0000 0.1681 0.5000 x4
Rh 0.0000 0.5000 0.5000 x2
O 0.2217 0.3490 0.7200 x8
O 0.2391 0.5000 0.2864 x4

Principal peaks in the range 10° ≤ 2θ ≤ 90°, sorted by position:
two_theta	Rel. int.	hkl
15.63	100.0	0 0 1
30.55	33.4	1 3 0
31.56	21.7	0 0 2
32.07	39.9	1 3 -1
36.77	64.0	1 3 1
37.43	31.0	2 0 -2



This entry pairs a crystal structure of KCa2Os with its theoretical X-ray diffraction stick pattern. Radiation: Cu Kα (λ = 1.5418 Å). Structure: a crystal structure in Alexandria, relaxed with PBE.
Peak positions follow from Bragg's law for the DFT cell and can differ from measured ones.

Atomic structure:
a b c (Å): 3.5094 3.5094 10.8706
angles (deg): 90.00 90.39 90.00
Space group P2/m (No. 10)
Unique sites:
K 0.0000 0.0000 0.0000 x1
Ca 0.4964 0.5000 0.3486 x2
Os 0.0000 0.0000 0.5000 x1

Principal peaks in the range 10° ≤ 2θ ≤ 90°, sorted by position:
two_theta	Rel. int.	hkl
16.31	90.3	0 0 2
30.28	100.0	0 1 2
35.61	34.4	0 1 3
36.20	61.8	1 1 0
37.16	45.3	1 1 -1
42.05	35.7	0 1 4



This entry pairs a crystal structure of La7Pm3Tm with its theoretical X-ray diffraction stick pattern. Radiation: Cu Kα (λ = 1.5418 Å). Structure: a crystal structure in Alexandria, relaxed with PBE.
Peak positions follow from Bragg's law for the DFT cell and can differ from measured ones.

Atomic structure:
a b c (Å): 13.0100 11.5365 6.0721
angles (deg): 90.00 117.69 90.00
Space group C2/m (No. 12)
Unique sites:
La 0.0000 0.0000 0.0000 x2
La 0.1948 0.2906 0.6952 x8
La 0.2118 0.5000 0.2116 x4
Pm 0.0000 0.2929 0.0000 x4
Pm 0.0000 0.5000 0.5000 x2
Tm 0.0000 0.0000 0.5000 x2

Principal peaks in the range 10° ≤ 2θ ≤ 90°, sorted by position:
two_theta	Rel. int.	hkl
24.42	17.9	1 3 0
29.42	41.4	2 0 -2
31.03	34.2	0 4 0
31.63	100.0	2 2 1
43.26	21.6	2 4 -2
53.59	22.5	6 2 -3



This entry pairs a crystal structure of Pm3Pa2O9 with its theoretical X-ray diffraction stick pattern. Radiation: Cu Kα (λ = 1.5418 Å). Structure: a crystal structure in Alexandria, relaxed with PBE.
Peak positions follow from Bragg's law for the DFT cell and can differ from measured ones.

Atomic structure:
a b c (Å): 3.9496 3.9496 28.2638
angles (deg): 90.00 90.00 90.00
Space group I-4m2 (No. 119)
Unique sites:
Pm 0.0000 0.0000 0.0000 x2
Pm 0.0000 0.0000 0.4111 x4
Pa 0.0000 0.0000 0.1951 x4
O 0.0000 0.5000 0.0499 x4
O 0.0000 0.5000 0.1581 x4
O 0.0000 0.5000 0.2500 x2
O 0.0000 0.5000 0.5532 x4
O 0.0000 0.5000 0.6683 x4

Principal peaks in the range 10° ≤ 2θ ≤ 90°, sorted by position:
two_theta	Rel. int.	hkl
27.55	100.0	1 0 5
31.66	10.9	0 0 10
32.05	24.4	1 1 0
45.67	28.7	1 1 10
45.96	17.7	2 0 0
54.42	31.0	2 1 5



This entry pairs a crystal structure of YCrB14 with its theoretical X-ray diffraction stick pattern. Radiation: Cu Kα (λ = 1.5418 Å). Structure: a crystal structure in Alexandria, relaxed with PBE.
Peak positions follow from Bragg's law for the DFT cell and can differ from measured ones.

Atomic structure:
a b c (Å): 5.8558 10.7004 8.2019
angles (deg): 90.00 90.00 90.00
Space group Imma (No. 74)
Unique sites:
Y 0.0000 0.2500 0.1284 x4
Cr 0.2500 0.2500 0.7500 x4
B 0.0000 0.0840 0.6708 x8
B 0.0000 0.1287 0.8697 x8
B 0.0000 0.1671 0.4690 x8
B 0.1599 0.0631 0.3385 x16
B 0.2480 0.0784 0.5482 x16

Principal peaks in the range 10° ≤ 2θ ≤ 90°, sorted by position:
two_theta	Rel. int.	hkl
16.57	96.4	0 2 0
25.02	69.2	1 2 1
27.84	63.8	1 1 2
33.55	100.0	2 1 1
36.75	58.0	1 3 2
41.41	98.3	2 3 1



This entry pairs a crystal structure of CsRbVSe3 with its theoretical X-ray diffraction stick pattern. Radiation: Cu Kα (λ = 1.5418 Å). Structure: a crystal structure in Alexandria, relaxed with PBE.
Peak positions follow from Bragg's law for the DFT cell and can differ from measured ones.

Atomic structure:
a b c (Å): 12.2325 8.4020 9.5898
angles (deg): 90.00 113.60 90.00
Space group C2/m (No. 12)
Unique sites:
Cs 0.1734 0.0000 0.1919 x4
Rb 0.0000 0.2390 0.5000 x4
V 0.0193 0.5000 0.1490 x4
Se 0.0922 0.2806 0.8736 x8
Se 0.2039 0.5000 0.3549 x4

Principal peaks in the range 10° ≤ 2θ ≤ 90°, sorted by position:
two_theta	Rel. int.	hkl
26.02	100.0	2 2 -1
26.52	46.9	2 2 0
28.16	31.5	2 0 -3
29.35	93.0	4 0 -1
30.49	41.0	0 0 3
32.17	29.6	3 1 -3



> What is the formula in the fifth record?

YCrB14